[1]
Starting from a cell relaxed with GGA-PBE, the powder X-ray diffraction pattern of Ac7CdPb2N2 was calculated for CuKα.
Peak positions follow from Bragg's law for the DFT cell and can differ from measured ones.

Largest 10 diffraction maxima, in order of falling intensity, 2θ = 5–70°:
| 2θ/deg | I (rel.) |
| --- | --- |
| 30.5 | 100 |
| 33.7 | 60 |
| 26.9 | 44 |
| 58.3 | 33 |
| 47.1 | 33 |
| 31.9 | 24 |
| 48.4 | 22 |
| 24.5 | 21 |
| 58.1 | 19 |
| 59.2 | 17 |

Structure:
a = 5.3193 Å, b = 5.3193 Å, c = 14.4983 Å
α = 100.52°, β = 100.52°, γ = 90.02°
Fractional coordinates of all 12 atoms:
Ac: 0.0000 0.0000 0.0000
Ac: 0.0951 0.5949 0.1895
Ac: 0.1949 0.1949 0.3908
Ac: 0.4051 0.9049 0.8105
Ac: 0.5949 0.0951 0.1895
Ac: 0.8051 0.8051 0.6092
Ac: 0.9049 0.4051 0.8105
Cd: 0.5000 0.5000 0.0000
Pb: 0.3209 0.3209 0.6408
Pb: 0.6791 0.6791 0.3592
N: 0.1021 0.1021 0.2036
N: 0.8979 0.8979 0.7964


[2]
Starting from a cell relaxed with GGA-PBE, the powder X-ray diffraction pattern of Ac12Tl4CdN3 was calculated for CuKα.
Peak positions follow from Bragg's law for the DFT cell and can differ from measured ones.

Largest 10 diffraction maxima, in order of falling intensity, 2θ = 5–70°:
| 2θ/deg | I (rel.) |
| --- | --- |
| 27.9 | 100 |
| 32.3 | 62 |
| 46.3 | 43 |
| 54.9 | 43 |
| 57.5 | 14 |
| 67.5 | 7 |
| 61.4 | 4 |
| 38.0 | 4 |
| 30.1 | 3 |
| 66.3 | 3 |

Structure:
a = 9.6099 Å, b = 9.6099 Å, c = 9.6099 Å
α = 109.47°, β = 109.47°, γ = 109.47°
Fractional coordinates of all 20 atoms:
Ac: 0.0000 0.2771 0.2771
Ac: 0.0000 0.7229 0.7229
Ac: 0.2500 0.5000 0.7500
Ac: 0.2500 0.7500 0.5000
Ac: 0.2771 0.0000 0.2771
Ac: 0.2771 0.2771 0.0000
Ac: 0.5000 0.2500 0.7500
Ac: 0.5000 0.7500 0.2500
Ac: 0.7229 0.0000 0.7229
Ac: 0.7229 0.7229 0.0000
Ac: 0.7500 0.2500 0.5000
Ac: 0.7500 0.5000 0.2500
Tl: 0.0000 0.0000 0.5000
Tl: 0.0000 0.5000 0.0000
Tl: 0.5000 0.0000 0.0000
Tl: 0.5000 0.5000 0.5000
Cd: 0.0000 0.0000 0.0000
N: 0.0000 0.5000 0.5000
N: 0.5000 0.0000 0.5000
N: 0.5000 0.5000 0.0000


[3]
Starting from a cell relaxed with GGA-PBE, the powder X-ray diffraction pattern of Ac2ZnCdN was calculated for CuKα.
Peak positions follow from Bragg's law for the DFT cell and can differ from measured ones.

Largest 10 diffraction maxima, in order of falling intensity, 2θ = 5–70°:
| 2θ/deg | I (rel.) |
| --- | --- |
| 30.1 | 100 |
| 33.1 | 72 |
| 30.3 | 61 |
| 27.7 | 59 |
| 25.0 | 54 |
| 26.9 | 49 |
| 24.8 | 43 |
| 44.1 | 35 |
| 31.2 | 27 |
| 43.8 | 25 |

Structure:
a = 7.4645 Å, b = 4.1108 Å, c = 8.9528 Å
α = 90.00°, β = 105.89°, γ = 90.00°
Fractional coordinates of all 10 atoms:
Ac: 0.1833 0.2500 0.3728
Ac: 0.1952 0.2500 0.9515
Ac: 0.8048 0.7500 0.0485
Ac: 0.8167 0.7500 0.6272
Zn: 0.4368 0.7500 0.2245
Zn: 0.5632 0.2500 0.7755
Cd: 0.3299 0.7500 0.6925
Cd: 0.6701 0.2500 0.3075
N: 0.1512 0.7500 0.1736
N: 0.8488 0.2500 0.8264


[4]
Starting from a cell relaxed with GGA-PBE, the powder X-ray diffraction pattern of NaAcCd10 was calculated for CuKα.
Peak positions follow from Bragg's law for the DFT cell and can differ from measured ones.

Largest 10 diffraction maxima, in order of falling intensity, 2θ = 5–70°:
| 2θ/deg | I (rel.) |
| --- | --- |
| 34.9 | 100 |
| 36.5 | 43 |
| 35.4 | 39 |
| 39.4 | 31 |
| 8.4 | 20 |
| 56.7 | 18 |
| 29.6 | 14 |
| 51.3 | 14 |
| 25.0 | 14 |
| 61.5 | 14 |

Structure:
a = 4.9247 Å, b = 5.9184 Å, c = 10.5227 Å
α = 90.00°, β = 90.00°, γ = 90.00°
Fractional coordinates of all 12 atoms:
Na: 0.0000 0.0000 0.0000
Ac: 0.0000 0.5000 0.5000
Cd: 0.0000 0.0000 0.3135
Cd: 0.0000 0.0000 0.6865
Cd: 0.0000 0.5000 0.1546
Cd: 0.0000 0.5000 0.8454
Cd: 0.5000 0.0000 0.5000
Cd: 0.5000 0.2576 0.2600
Cd: 0.5000 0.2576 0.7400
Cd: 0.5000 0.5000 0.0000
Cd: 0.5000 0.7424 0.2600
Cd: 0.5000 0.7424 0.7400


[5]
Starting from a cell relaxed with GGA-PBE, the powder X-ray diffraction pattern of Na2Ac2Cd15 was calculated for CuKα.
Peak positions follow from Bragg's law for the DFT cell and can differ from measured ones.

Largest 10 diffraction maxima, in order of falling intensity, 2θ = 5–70°:
| 2θ/deg | I (rel.) |
| --- | --- |
| 34.9 | 100 |
| 35.9 | 43 |
| 34.5 | 41 |
| 39.0 | 30 |
| 24.7 | 23 |
| 29.8 | 23 |
| 56.2 | 19 |
| 50.6 | 18 |
| 61.8 | 17 |
| 31.0 | 17 |

Structure:
a = 7.8174 Å, b = 7.8174 Å, c = 7.8174 Å
α = 83.34°, β = 83.34°, γ = 83.34°
Fractional coordinates of all 19 atoms:
Na: 0.0985 0.0985 0.0985
Na: 0.9015 0.9015 0.9015
Ac: 0.3419 0.3419 0.3419
Ac: 0.6581 0.6581 0.6581
Cd: 0.0000 0.0000 0.5000
Cd: 0.0000 0.3000 0.7000
Cd: 0.0000 0.5000 0.0000
Cd: 0.0000 0.7000 0.3000
Cd: 0.1606 0.6458 0.6458
Cd: 0.3000 0.0000 0.7000
Cd: 0.3000 0.7000 0.0000
Cd: 0.3542 0.3542 0.8394
Cd: 0.3542 0.8394 0.3542
Cd: 0.5000 0.0000 0.0000
Cd: 0.6458 0.1606 0.6458
Cd: 0.6458 0.6458 0.1606
Cd: 0.7000 0.0000 0.3000
Cd: 0.7000 0.3000 0.0000
Cd: 0.8394 0.3542 0.3542


[6]
Starting from a cell relaxed with GGA-PBE, the powder X-ray diffraction pattern of NaAc2Cd6 was calculated for CuKα.
Peak positions follow from Bragg's law for the DFT cell and can differ from measured ones.

Largest 10 diffraction maxima, in order of falling intensity, 2θ = 5–70°:
| 2θ/deg | I (rel.) |
| --- | --- |
| 31.4 | 100 |
| 34.6 | 78 |
| 47.4 | 32 |
| 60.0 | 31 |
| 61.8 | 28 |
| 11.4 | 24 |
| 62.0 | 14 |
| 26.8 | 11 |
| 49.5 | 9 |
| 22.9 | 9 |

Structure:
a = 8.9846 Å, b = 8.9846 Å, c = 3.6843 Å
α = 90.00°, β = 90.00°, γ = 120.00°
Fractional coordinates of all 9 atoms:
Na: 0.0000 0.0000 0.0000
Ac: 0.3333 0.6667 0.0000
Ac: 0.6667 0.3333 0.0000
Cd: 0.0000 0.3255 0.5000
Cd: 0.0000 0.6745 0.5000
Cd: 0.3255 0.0000 0.5000
Cd: 0.3255 0.3255 0.5000
Cd: 0.6745 0.0000 0.5000
Cd: 0.6745 0.6745 0.5000


[7]
Starting from a cell relaxed with GGA-PBE, the powder X-ray diffraction pattern of AcNd8Cd2 was calculated for CuKα.
Peak positions follow from Bragg's law for the DFT cell and can differ from measured ones.

Largest 10 diffraction maxima, in order of falling intensity, 2θ = 5–70°:
| 2θ/deg | I (rel.) |
| --- | --- |
| 31.7 | 100 |
| 32.5 | 69 |
| 24.9 | 60 |
| 28.9 | 59 |
| 34.5 | 57 |
| 37.1 | 46 |
| 28.1 | 39 |
| 16.1 | 33 |
| 29.8 | 29 |
| 57.4 | 27 |

Structure:
a = 9.1522 Å, b = 9.1522 Å, c = 5.3588 Å
α = 99.29°, β = 99.29°, γ = 74.14°
Fractional coordinates of all 11 atoms:
Ac: 0.0000 0.0000 0.0000
Nd: 0.1635 0.6303 0.2217
Nd: 0.2467 0.2467 0.1303
Nd: 0.3697 0.8365 0.7783
Nd: 0.4181 0.4181 0.7083
Nd: 0.5819 0.5819 0.2917
Nd: 0.6303 0.1635 0.2217
Nd: 0.7533 0.7533 0.8697
Nd: 0.8365 0.3697 0.7783
Cd: 0.1419 0.1419 0.5669
Cd: 0.8581 0.8581 0.4331


[8]
Starting from a cell relaxed with GGA-PBE, the powder X-ray diffraction pattern of AcNd6Cd was calculated for CuKα.
Peak positions follow from Bragg's law for the DFT cell and can differ from measured ones.

Largest 10 diffraction maxima, in order of falling intensity, 2θ = 5–70°:
| 2θ/deg | I (rel.) |
| --- | --- |
| 30.1 | 100 |
| 35.0 | 34 |
| 59.7 | 29 |
| 50.0 | 24 |
| 34.6 | 17 |
| 59.2 | 13 |
| 50.3 | 12 |
| 62.5 | 12 |
| 26.0 | 2 |
| 19.3 | 2 |

Structure:
a = 5.1296 Å, b = 5.1296 Å, c = 10.3717 Å
α = 90.00°, β = 90.00°, γ = 90.00°
Fractional coordinates of all 8 atoms:
Ac: 0.0000 0.0000 0.0000
Nd: 0.0000 0.5000 0.2622
Nd: 0.0000 0.5000 0.7378
Nd: 0.5000 0.0000 0.2622
Nd: 0.5000 0.0000 0.7378
Nd: 0.5000 0.5000 0.0000
Nd: 0.5000 0.5000 0.5000
Cd: 0.0000 0.0000 0.5000


[9]
Starting from a cell relaxed with GGA-PBE, the powder X-ray diffraction pattern of Ac2NdCd2 was calculated for CuKα.
Peak positions follow from Bragg's law for the DFT cell and can differ from measured ones.

Largest 10 diffraction maxima, in order of falling intensity, 2θ = 5–70°:
| 2θ/deg | I (rel.) |
| --- | --- |
| 32.3 | 100 |
| 32.7 | 64 |
| 26.3 | 61 |
| 30.3 | 42 |
| 32.9 | 39 |
| 27.4 | 37 |
| 22.9 | 32 |
| 47.8 | 29 |
| 35.0 | 27 |
| 51.7 | 27 |

Structure:
a = 8.4400 Å, b = 8.4400 Å, c = 8.4400 Å
α = 120.72°, β = 77.63°, γ = 134.70°
Fractional coordinates of all 10 atoms:
Ac: 0.2038 0.1562 0.3600
Ac: 0.2962 0.6562 0.9524
Ac: 0.7038 0.3438 0.0476
Ac: 0.7962 0.8438 0.6400
Nd: 0.2500 0.7500 0.5000
Nd: 0.7500 0.2500 0.5000
Cd: 0.0562 0.8307 0.8869
Cd: 0.4438 0.3307 0.7745
Cd: 0.5562 0.6693 0.2255
Cd: 0.9438 0.1693 0.1131


[10]
Starting from a cell relaxed with GGA-PBE, the powder X-ray diffraction pattern of Ac6NdCd5 was calculated for CuKα.
Peak positions follow from Bragg's law for the DFT cell and can differ from measured ones.

Largest 10 diffraction maxima, in order of falling intensity, 2θ = 5–70°:
| 2θ/deg | I (rel.) |
| --- | --- |
| 30.7 | 100 |
| 54.4 | 28 |
| 30.6 | 25 |
| 31.1 | 25 |
| 55.1 | 19 |
| 44.2 | 18 |
| 64.0 | 12 |
| 21.7 | 10 |
| 54.7 | 10 |
| 43.8 | 9 |

Structure:
a = 5.7552 Å, b = 8.2645 Å, c = 9.2265 Å
α = 90.00°, β = 108.13°, γ = 90.00°
Fractional coordinates of all 12 atoms:
Ac: 0.0000 0.2326 0.0000
Ac: 0.0000 0.7674 0.0000
Ac: 0.3290 0.2487 0.6567
Ac: 0.3290 0.7513 0.6567
Ac: 0.6710 0.2487 0.3433
Ac: 0.6710 0.7513 0.3433
Nd: 0.5000 0.5000 0.0000
Cd: 0.1549 0.5000 0.3106
Cd: 0.1654 0.0000 0.3343
Cd: 0.5000 0.0000 0.0000
Cd: 0.8346 0.0000 0.6657
Cd: 0.8451 0.5000 0.6894


[11]
Starting from a cell relaxed with GGA-PBE, the powder X-ray diffraction pattern of AcNd4Cd was calculated for CuKα.
Peak positions follow from Bragg's law for the DFT cell and can differ from measured ones.

Largest 10 diffraction maxima, in order of falling intensity, 2θ = 5–70°:
| 2θ/deg | I (rel.) |
| --- | --- |
| 30.0 | 100 |
| 33.5 | 43 |
| 57.7 | 32 |
| 48.0 | 16 |
| 50.9 | 14 |
| 26.5 | 13 |
| 46.1 | 10 |
| 56.2 | 9 |
| 37.2 | 9 |
| 62.3 | 8 |

Structure:
a = 3.7873 Å, b = 3.7873 Å, c = 14.5126 Å
α = 90.00°, β = 90.00°, γ = 90.00°
Fractional coordinates of all 6 atoms:
Ac: 0.0000 0.0000 0.0000
Nd: 0.0000 0.0000 0.3617
Nd: 0.0000 0.0000 0.6383
Nd: 0.5000 0.5000 0.1885
Nd: 0.5000 0.5000 0.8115
Cd: 0.5000 0.5000 0.5000


[12]
Starting from a cell relaxed with GGA-PBE, the powder X-ray diffraction pattern of Ac3NdCd4 was calculated for CuKα.
Peak positions follow from Bragg's law for the DFT cell and can differ from measured ones.

Largest 10 diffraction maxima, in order of falling intensity, 2θ = 5–70°:
| 2θ/deg | I (rel.) |
| --- | --- |
| 31.4 | 100 |
| 56.0 | 37 |
| 45.1 | 18 |
| 65.6 | 11 |
| 22.1 | 9 |
| 50.7 | 5 |
| 38.8 | 3 |
| 27.7 | 3 |
| 51.1 | 2 |
| 68.2 | 2 |

Structure:
a = 4.0230 Å, b = 4.0230 Å, c = 16.0916 Å
α = 90.00°, β = 90.00°, γ = 90.00°
Fractional coordinates of all 8 atoms:
Ac: 0.0000 0.0000 0.0000
Ac: 0.0000 0.0000 0.2584
Ac: 0.0000 0.0000 0.7416
Nd: 0.0000 0.0000 0.5000
Cd: 0.5000 0.5000 0.1284
Cd: 0.5000 0.5000 0.3908
Cd: 0.5000 0.5000 0.6092
Cd: 0.5000 0.5000 0.8716


[13]
Starting from a cell relaxed with GGA-PBE, the powder X-ray diffraction pattern of AcNdZnCd was calculated for CuKα.
Peak positions follow from Bragg's law for the DFT cell and can differ from measured ones.

Largest 10 diffraction maxima, in order of falling intensity, 2θ = 5–70°:
| 2θ/deg | I (rel.) |
| --- | --- |
| 32.6 | 100 |
| 32.8 | 52 |
| 58.4 | 37 |
| 47.1 | 19 |
| 57.9 | 16 |
| 23.0 | 13 |
| 25.7 | 11 |
| 68.2 | 10 |
| 46.3 | 8 |
| 22.7 | 7 |

Structure:
a = 3.8591 Å, b = 3.8591 Å, c = 7.8426 Å
α = 90.00°, β = 90.00°, γ = 90.00°
Fractional coordinates of all 4 atoms:
Ac: 0.0000 0.0000 0.0000
Nd: 0.0000 0.0000 0.4649
Zn: 0.5000 0.5000 0.2577
Cd: 0.5000 0.5000 0.7111